# 1
Starting from DFT lattice parameters and positions (GGA-PBE), the powder diffraction line list of Pu3Sn5 was computed for λ = 1.5418 Å (Cu Kα).

Peak list (6 most intense, 5 to 70 degrees two-theta, low angle first)
d [Å], I/Imax
2.739, 504
2.698, 1000
2.685, 493
2.362, 344
2.333, 662
1.403, 277

```
data_Pu3Sn5
_chemical_formula_sum 'Pu6 Sn10'
_cell_length_a 11.4235
_cell_length_b 6.5745
_cell_length_c 5.8276
_cell_angle_alpha 90.00
_cell_angle_beta 109.94
_cell_angle_gamma 90.00
_symmetry_space_group_name_H-M 'C 1 2/m 1'
_symmetry_Int_Tables_number 12
_symmetry_space_group_name_Hall '-C 2y'
loop_
_atom_site_label
_atom_site_type_symbol
_atom_site_fract_x
_atom_site_fract_y
_atom_site_fract_z
Pu1 Pu 0.0000 0.0000 0.0000
Pu2 Pu 0.2453 0.5000 0.4747
Sn1 Sn 0.0000 0.2494 0.5000
Sn2 Sn 0.0000 0.5000 0.0000
Sn3 Sn 0.2500 0.2500 0.0000
```

=====

# 2
Starting from DFT lattice parameters and positions (GGA-PBE), the powder diffraction line list of Pu3Sn2 was computed for λ = 1.5418 Å (Cu Kα).

Peak list (6 most intense, 5 to 70 degrees two-theta, low angle first)
d [Å], I/Imax
4.135, 359
2.661, 323
2.550, 602
2.492, 1000
2.068, 165
1.428, 208

```
data_Pu3Sn2
_chemical_formula_sum 'Pu12 Sn8'
_cell_length_a 6.2454
_cell_length_b 9.3592
_cell_length_c 8.8322
_cell_angle_alpha 90.00
_cell_angle_beta 90.00
_cell_angle_gamma 90.00
_symmetry_space_group_name_H-M 'C m c e'
_symmetry_Int_Tables_number 64
_symmetry_space_group_name_Hall '-C 2ac 2'
loop_
_atom_site_label
_atom_site_type_symbol
_atom_site_fract_x
_atom_site_fract_y
_atom_site_fract_z
Pu1 Pu 0.0000 0.0000 0.0000
Pu2 Pu 0.2500 0.1303 0.2500
Sn1 Sn 0.0000 0.1324 0.5837
```

=====

# 3
Starting from DFT lattice parameters and positions (GGA-PBE), the powder diffraction line list of Pu2Sn3 was computed for λ = 1.5418 Å (Cu Kα).

Peak list (6 most intense, 5 to 70 degrees two-theta, low angle first)
d [Å], I/Imax
3.396, 229
3.165, 194
2.542, 1000
2.529, 488
1.788, 155
1.463, 287

```
data_Pu2Sn3
_chemical_formula_sum 'Pu16 Sn24'
_cell_length_a 7.1527
_cell_length_b 7.1527
_cell_length_c 21.6901
_cell_angle_alpha 90.00
_cell_angle_beta 90.00
_cell_angle_gamma 90.00
_symmetry_space_group_name_H-M 'I 41/a m d'
_symmetry_Int_Tables_number 141
loop_
_symmetry_equiv_pos_as_xyz
'x,y,z'
'-x,-y,-z'
'-y+1/4,x+3/4,z+1/4'
'y+1/4,-x+3/4,-z+1/4'
'-x+1/2,-y,z+1/2'
'x+1/2,y,-z+1/2'
'y+1/4,-x+1/4,z+3/4'
'-y+1/4,x+1/4,-z+3/4'
'x,-y,-z'
'-x,y,z'
'-y+1/4,-x+1/4,-z+3/4'
'y+1/4,x+1/4,z+3/4'
'-x+1/2,y,-z+1/2'
'x+1/2,-y,z+1/2'
'y+1/4,x+3/4,-z+1/4'
'-y+1/4,-x+3/4,z+1/4'
'x+1/2,y+1/2,z+1/2'
'-x+1/2,-y+1/2,-z+1/2'
'-y+3/4,x+1/4,z+3/4'
'y+3/4,-x+1/4,-z+3/4'
'-x,-y+1/2,z'
'x,y+1/2,-z'
'y+3/4,-x+3/4,z+1/4'
'-y+3/4,x+3/4,-z+1/4'
'x+1/2,-y+1/2,-z+1/2'
'-x+1/2,y+1/2,z+1/2'
'-y+3/4,-x+3/4,-z+1/4'
'y+3/4,x+3/4,z+1/4'
'-x,y+1/2,-z'
'x,-y+1/2,z'
'y+3/4,x+1/4,-z+3/4'
'-y+3/4,-x+1/4,z+3/4'
loop_
_atom_site_label
_atom_site_type_symbol
_atom_site_fract_x
_atom_site_fract_y
_atom_site_fract_z
Pu1 Pu 0.0000 0.0293 0.1682
Sn1 Sn 0.0000 0.0000 0.0000
Sn2 Sn 0.0000 0.0358 0.3213
```